# LaTaCrO6
Computed X-ray diffraction stick pattern, CuKα. Input: a DFT-relaxed cell (PBE+U, the Materials Project).
Intensities are scaled so that the largest is 100.

Cell and atoms:
```
LaTaCrO6
1.0
5.4954 0.0000 0.0000
-2.7285 4.7708 0.0000
-2.7372 -1.5957 4.4944
La Ta Cr O
1 1 1 6
Direct
0.0000 0.0000 0.0000
0.5042 0.2513 0.7495
0.4986 0.7487 0.2466
0.0037 0.0058 0.5564
0.0068 0.4961 0.9538
0.4476 0.9715 0.4570
0.4536 0.4690 0.4522
0.5544 0.0216 0.0202
0.5690 0.5514 0.0169
```

The 10 most intense peaks (15 to 90 degrees two-theta), low angle first:
2theta	Rel. int.
19.76	100
22.82	18
32.52	97
32.59	49
38.31	38
38.46	19
46.60	32
51.20	18
57.99	30
58.10	20

# LaTaZnCrO6
Computed X-ray diffraction stick pattern, CuKα. Input: a DFT-relaxed cell (PBE+U, the Materials Project).
Intensities are scaled so that the largest is 100.

Cell and atoms:
```
LaTaZnCrO6
1.0
5.4228 0.0000 0.0000
0.0000 5.7250 0.0000
-5.2983 0.0000 8.4844
La Ta Zn Cr O
2 2 2 2 12
Direct
0.0000 0.1974 0.0000
0.0000 0.8026 0.5000
0.7220 0.2783 0.2501
0.7220 0.7217 0.7501
0.4769 0.1459 0.4967
0.4769 0.8541 0.9967
0.2244 0.2577 0.7468
0.2244 0.7423 0.2468
0.0790 0.0528 0.3121
0.0790 0.9472 0.8121
0.3718 0.4489 0.1929
0.3718 0.5511 0.6929
0.4582 0.0465 0.6818
0.4582 0.9535 0.1818
0.6005 0.2463 0.0271
0.6005 0.7537 0.5271
0.7944 0.2096 0.4658
0.7944 0.7904 0.9658
0.9702 0.4563 0.8026
0.9702 0.5437 0.3026
```

The 10 most intense peaks (15 to 90 degrees two-theta), low angle first:
2theta	Rel. int.
18.70	38
19.56	21
30.82	82
31.18	100
33.04	33
35.44	22
42.62	23
46.11	25
55.37	17
57.43	17

# La2TiCrO6
Computed X-ray diffraction stick pattern, CuKα. Input: a DFT-relaxed cell (PBE+U, the Materials Project).
Intensities are scaled so that the largest is 100.

Cell and atoms:
```
La2TiCrO6
1.0
5.6431 0.0000 0.0000
2.8098 4.9619 0.0000
2.8103 -1.5277 9.0172
La Ti Cr O
4 2 2 12
Direct
0.2421 0.3819 0.1247
0.2466 0.8697 0.6253
0.7534 0.1303 0.3747
0.7579 0.6181 0.8753
0.4940 0.7591 0.2515
0.5060 0.2409 0.7485
0.0000 0.0000 0.0000
0.0000 0.5000 0.5000
0.1701 0.7133 0.3861
0.1831 0.2002 0.8736
0.2319 0.9688 0.1374
0.2486 0.4425 0.6265
0.3242 0.1354 0.3734
0.3621 0.5850 0.8685
0.6379 0.4150 0.1315
0.6758 0.8646 0.6266
0.7514 0.5575 0.3735
0.7681 0.0312 0.8626
0.8169 0.7998 0.1264
0.8299 0.2867 0.6139
```

The 10 most intense peaks (15 to 90 degrees two-theta), low angle first:
2theta	Rel. int.
22.07	21
22.46	39
31.35	98
31.71	45
32.04	100
32.25	48
38.88	27
45.02	29
45.86	57
56.20	23

# La2TiCrO6
Computed X-ray diffraction stick pattern, CuKα. Input: a DFT-relaxed cell (PBE+U, the Materials Project).
Intensities are scaled so that the largest is 100.

Cell and atoms:
```
La2TiCrO6
1.0
5.6059 0.0000 0.0000
0.0814 5.7225 0.0000
0.1437 0.0348 7.8636
La Ti Cr O
4 2 2 12
Direct
0.0048 0.0016 0.2495
0.4909 0.5034 0.7461
0.5091 0.4966 0.2539
0.9952 0.9984 0.7505
0.0000 0.5000 0.0000
0.5000 0.0000 0.5000
0.0000 0.5000 0.5000
0.5000 0.0000 0.0000
0.0180 0.5756 0.7488
0.1876 0.1976 0.9688
0.2262 0.7714 0.4576
0.2737 0.2761 0.5345
0.2914 0.6703 0.0362
0.4968 0.9266 0.7438
0.5032 0.0734 0.2562
0.7086 0.3297 0.9638
0.7263 0.7239 0.4655
0.7738 0.2286 0.5424
0.8124 0.8024 0.0312
0.9820 0.4244 0.2512
```

The 10 most intense peaks (15 to 90 degrees two-theta), low angle first:
2theta	Rel. int.
31.26	53
31.52	50
31.90	100
32.05	53
32.17	51
44.96	31
45.63	30
46.18	30
56.25	36
56.71	33

# La2TiCrO6
Computed X-ray diffraction stick pattern, CuKα. Input: a DFT-relaxed cell (PBE+U, the Materials Project).
Intensities are scaled so that the largest is 100.

Cell and atoms:
```
La2TiCrO6
1.0
5.6519 0.0000 0.0000
0.0625 8.0599 0.0000
0.0242 0.3708 11.1016
La Ti Cr O
8 4 4 24
Direct
0.2418 0.0028 0.3640
0.2487 0.9988 0.8753
0.2520 0.5011 0.8753
0.2570 0.5024 0.3710
0.7430 0.4976 0.6290
0.7480 0.4989 0.1247
0.7513 0.0012 0.1247
0.7582 0.9972 0.6360
0.2504 0.2504 0.1233
0.2512 0.2505 0.6235
0.7488 0.7495 0.3765
0.7496 0.7496 0.8767
0.2484 0.7489 0.1238
0.2508 0.7519 0.6232
0.7492 0.2481 0.3768
0.7516 0.2511 0.8762
0.0283 0.7932 0.2625
0.0305 0.7919 0.7698
0.0341 0.2121 0.9835
0.0418 0.2009 0.4882
0.1583 0.4827 0.6272
0.1732 0.5012 0.1229
0.3240 0.9972 0.1234
0.3444 0.0202 0.6466
0.4603 0.2916 0.2632
0.4634 0.7145 0.9825
0.4738 0.3016 0.7671
0.4749 0.7042 0.4817
0.5251 0.2958 0.5183
0.5262 0.6984 0.2329
0.5366 0.2855 0.0175
0.5397 0.7084 0.7368
0.6556 0.9798 0.3534
0.6760 0.0028 0.8766
0.8268 0.4988 0.8771
0.8417 0.5173 0.3728
0.9582 0.7991 0.5118
0.9659 0.7879 0.0165
0.9695 0.2081 0.2302
0.9717 0.2068 0.7375
```

The 10 most intense peaks (15 to 90 degrees two-theta), low angle first:
2theta	Rel. int.
22.45	69
31.19	90
31.40	85
31.66	81
32.00	89
32.14	87
32.25	83
45.02	51
45.83	100
56.34	59

# La2TiCrO6
Computed X-ray diffraction stick pattern, CuKα. Input: a DFT-relaxed cell (PBE+U, the Materials Project).
Intensities are scaled so that the largest is 100.

Cell and atoms:
```
La2TiCrO6
1.0
2.8330 1.6356 4.4504
-2.8330 1.6356 4.4504
0.0000 -3.2712 4.4504
La Ti Cr O
2 1 1 6
Direct
0.2489 0.2489 0.2489
0.7511 0.7511 0.7511
0.0000 0.0000 0.0000
0.5000 0.5000 0.5000
0.1800 0.7472 0.3217
0.2528 0.6783 0.8200
0.3217 0.1800 0.7472
0.6783 0.8200 0.2528
0.7472 0.3217 0.1800
0.8200 0.2528 0.6783
```

The 10 most intense peaks (15 to 90 degrees two-theta), low angle first:
2theta	Rel. int.
22.49	41
31.58	100
32.44	100
39.12	30
45.91	61
56.24	25
56.79	42
58.41	18
67.93	17
76.84	17

# La2TiCrO6
Computed X-ray diffraction stick pattern, CuKα. Input: a DFT-relaxed cell (PBE+U, the Materials Project).
Intensities are scaled so that the largest is 100.

Cell and atoms:
```
La2TiCrO6
1.0
7.9243 0.0000 0.0000
-0.2081 8.0326 0.0000
-3.7586 -3.9545 7.9390
La Ti Cr O
8 4 4 24
Direct
0.0009 0.2460 0.4983
0.2486 0.5035 0.0006
0.2546 0.9976 0.9992
0.4902 0.2514 0.4972
0.5098 0.7486 0.5028
0.7454 0.0024 0.0008
0.7514 0.4965 0.9994
0.9991 0.7540 0.5017
0.1248 0.3775 0.2503
0.3755 0.1257 0.7511
0.6245 0.8743 0.2489
0.8752 0.6225 0.7497
0.1232 0.8728 0.2489
0.3735 0.6237 0.7498
0.6265 0.3763 0.2502
0.8768 0.1272 0.7511
0.0293 0.7037 0.9966
0.0536 0.1261 0.2163
0.1101 0.5573 0.7212
0.1543 0.1844 0.7899
0.2027 0.6280 0.2890
0.2130 0.0394 0.5029
0.2755 0.4616 0.5011
0.3144 0.8582 0.7214
0.3627 0.3101 0.2226
0.4012 0.9349 0.2841
0.4350 0.3922 0.7811
0.4632 0.7812 0.9985
0.5368 0.2188 0.0015
0.5650 0.6078 0.2189
0.5988 0.0651 0.7159
0.6373 0.6899 0.7774
0.6856 0.1418 0.2786
0.7245 0.5384 0.4989
0.7870 0.9606 0.4971
0.7973 0.3720 0.7110
0.8457 0.8156 0.2101
0.8899 0.4427 0.2788
0.9464 0.8739 0.7837
0.9707 0.2963 0.0034
```

The 10 most intense peaks (15 to 90 degrees two-theta), low angle first:
2theta	Rel. int.
22.42	40
31.31	51
31.57	47
31.71	46
31.82	51
32.14	100
45.15	29
45.71	30
45.82	28
56.57	33